Simulated XRD peak list of PrFe2 for Cu Kα (weighted mean of Kα1 and Kα2), from a GGA-PBE-relaxed structure.
No peak broadening, texture or thermal motion is included.

Peak list (10 most intense, 10° ≤ 2θ ≤ 90°, low angle first)
2θ (°)  I (rel.)
20.6  12
33.9  63
40.0  100
41.8  16
60.6  23
64.7  31
71.3  22
81.3  10
85.0  11
86.2  5

Crystal structure
a b c (Å): 5.2911 5.2911 5.2911
angles (deg): 60.00 60.00 60.00
Element x y z (fractional)
Pr (0.1250, 0.1250, 0.1250)
Pr (0.8750, 0.8750, 0.8750)
Fe (0.0000, 0.5000, 0.5000)
Fe (0.5000, 0.0000, 0.5000)
Fe (0.5000, 0.5000, 0.0000)
Fe (0.5000, 0.5000, 0.5000)